# Pu3Ta4N12
Simulated powder XRD pattern, Cu Kα (λ = 1.5418 Å). Input: a DFT-relaxed cell (GGA-PBE, Alexandria).

Crystal structure
Lattice parameters (Å, degrees): 6.8546 6.8546 6.8546 109.47 109.47 109.47
Fractional positions:
Pu  0.0000  0.5000  0.5000
Pu  0.5000  0.0000  0.5000
Pu  0.5000  0.5000  0.0000
Ta  0.0000  0.0000  0.5000
Ta  0.0000  0.5000  0.0000
Ta  0.5000  0.0000  0.0000
Ta  0.5000  0.5000  0.5000
N  0.1142  0.3125  0.8017
N  0.1983  0.5108  0.3125
N  0.1983  0.8858  0.6875
N  0.3125  0.1983  0.5108
N  0.3125  0.8017  0.1142
N  0.4892  0.6875  0.8017
N  0.5108  0.3125  0.1983
N  0.6875  0.1983  0.8858
N  0.6875  0.8017  0.4892
N  0.8017  0.1142  0.3125
N  0.8017  0.4892  0.6875
N  0.8858  0.6875  0.1983

Most intense lines, 2θ = 15–90°, by angle:
| 2θ (°) | I/Imax |
| --- | --- |
| 15.8 | 17 |
| 27.6 | 9 |
| 32.0 | 100 |
| 35.9 | 4 |
| 42.7 | 5 |
| 45.9 | 22 |
| 48.8 | 3 |
| 57.0 | 44 |
| 59.6 | 3 |
| 66.9 | 14 |
| 76.1 | 18 |
| 84.9 | 5 |

# HfMn3Zn9
Simulated powder XRD pattern, Cu Kα (λ = 1.5418 Å). Input: a DFT-relaxed cell (GGA-PBE, Alexandria).

Crystal structure
Lattice parameters (Å, degrees): 6.6640 6.6640 6.5674 98.34 98.34 133.93
Fractional positions:
Hf  0.0000  0.0000  0.0000
Mn  0.0000  0.0000  0.5000
Mn  0.0000  0.5000  0.0000
Mn  0.5000  0.0000  0.0000
Zn  0.0175  0.6719  0.6610
Zn  0.2860  0.4997  0.7873
Zn  0.3281  0.9825  0.3390
Zn  0.4997  0.2860  0.7873
Zn  0.5000  0.5000  0.5000
Zn  0.5003  0.7140  0.2127
Zn  0.6719  0.0175  0.6610
Zn  0.7140  0.5003  0.2127
Zn  0.9825  0.3281  0.3390

Most intense lines, 2θ = 15–90°, by angle:
| 2θ (°) | I/Imax |
| --- | --- |
| 34.4 | 46 |
| 35.3 | 61 |
| 35.9 | 49 |
| 40.0 | 57 |
| 40.8 | 66 |
| 41.1 | 44 |
| 41.3 | 51 |
| 41.4 | 52 |
| 41.8 | 100 |
| 42.0 | 52 |
| 45.7 | 28 |
| 76.1 | 31 |

# HoMg2F8
Simulated powder XRD pattern, Cu Kα (λ = 1.5418 Å). Input: a DFT-relaxed cell (GGA-PBE, Alexandria).

Crystal structure
Lattice parameters (Å, degrees): 6.4318 6.4318 6.4318 133.61 133.61 67.69
Fractional positions:
Ho  0.0000  0.0000  0.0000
Mg  0.2500  0.7500  0.5000
Mg  0.7500  0.2500  0.5000
F  0.1090  0.1090  0.4878
F  0.1090  0.6212  0.0000
F  0.3788  0.3788  0.4878
F  0.3788  0.8910  0.0000
F  0.6212  0.1090  0.0000
F  0.6212  0.6212  0.5122
F  0.8910  0.3788  0.0000
F  0.8910  0.8910  0.5122

Most intense lines, 2θ = 15–90°, by angle:
| 2θ (°) | I/Imax |
| --- | --- |
| 19.4 | 100 |
| 24.9 | 12 |
| 30.0 | 57 |
| 30.7 | 29 |
| 39.4 | 10 |
| 40.7 | 27 |
| 46.1 | 10 |
| 47.6 | 19 |
| 49.6 | 38 |
| 51.0 | 18 |
| 59.5 | 10 |
| 60.3 | 15 |

# Th3SbN3
Simulated powder XRD pattern, Cu Kα (λ = 1.5418 Å). Input: a DFT-relaxed cell (GGA-PBE, Alexandria).

Crystal structure
Lattice parameters (Å, degrees): 8.6911 8.6911 8.6911 47.63 47.63 47.63
Fractional positions:
Th  0.0482  0.7425  0.3992
Th  0.2575  0.6008  0.9518
Th  0.3992  0.0482  0.7425
Th  0.6008  0.9518  0.2575
Th  0.7425  0.3992  0.0482
Th  0.9518  0.2575  0.6008
Sb  0.1665  0.1665  0.1665
Sb  0.8335  0.8335  0.8335
N  0.0542  0.3666  0.6983
N  0.3017  0.9458  0.6334
N  0.3666  0.6983  0.0542
N  0.6334  0.3017  0.9458
N  0.6983  0.0542  0.3666
N  0.9458  0.6334  0.3017

Most intense lines, 2θ = 15–90°, by angle:
| 2θ (°) | I/Imax |
| --- | --- |
| 23.1 | 11 |
| 25.4 | 10 |
| 27.9 | 100 |
| 34.6 | 46 |
| 35.0 | 16 |
| 43.7 | 10 |
| 44.7 | 29 |
| 53.6 | 17 |
| 54.4 | 17 |
| 57.8 | 11 |
| 58.0 | 22 |
| 72.3 | 13 |

# SnH4
Simulated powder XRD pattern, Cu Kα (λ = 1.5418 Å). Input: a DFT-relaxed cell (GGA-PBE, Alexandria).

Crystal structure
Lattice parameters (Å, degrees): 8.1971 3.7240 3.7240 115.84 90.00 90.00
Fractional positions:
Sn  0.0000  0.0000  0.0000
Sn  0.5000  0.0000  0.0000
H  0.0877  0.8423  0.4706
H  0.2500  0.3769  0.8409
H  0.2500  0.4443  0.6720
H  0.4123  0.8423  0.4706
H  0.5877  0.4706  0.8423
H  0.7500  0.6720  0.4443
H  0.7500  0.8409  0.3769
H  0.9123  0.4706  0.8423

Most intense lines, 2θ = 15–90°, by angle:
| 2θ (°) | I/Imax |
| --- | --- |
| 21.7 | 76 |
| 26.6 | 93 |
| 28.3 | 39 |
| 34.6 | 100 |
| 35.9 | 45 |
| 49.0 | 19 |
| 51.3 | 16 |
| 52.3 | 31 |
| 53.3 | 15 |
| 54.2 | 28 |
| 59.6 | 21 |
| 68.1 | 15 |

# CaUSe2O8
Simulated powder XRD pattern, Cu Kα (λ = 1.5418 Å). Input: a DFT-relaxed cell (GGA-PBE, Alexandria).

Crystal structure
Lattice parameters (Å, degrees): 5.6807 6.7645 11.2943 102.80 93.75 111.44
Fractional positions:
Ca  0.1766  0.2370  0.4282
Ca  0.8234  0.7630  0.5718
U  0.3281  0.7418  0.8347
U  0.6719  0.2582  0.1653
Se  0.1861  0.1894  0.8774
Se  0.2362  0.7019  0.3542
Se  0.7638  0.2981  0.6458
Se  0.8139  0.8106  0.1226
O  0.0502  0.6520  0.9102
O  0.0531  0.5336  0.6568
O  0.1591  0.8902  0.4539
O  0.1690  0.9828  0.7509
O  0.3832  0.4230  0.8406
O  0.3969  0.1304  0.9707
O  0.3983  0.1743  0.2488
O  0.4250  0.6246  0.4413
O  0.5750  0.3754  0.5587
O  0.6017  0.8257  0.7512
O  0.6031  0.8696  0.0293
O  0.6168  0.5770  0.1594
O  0.8310  0.0172  0.2491
O  0.8409  0.1098  0.5461
O  0.9469  0.4664  0.3432
O  0.9498  0.3480  0.0898

Most intense lines, 2θ = 15–90°, by angle:
| 2θ (°) | I/Imax |
| --- | --- |
| 17.6 | 79 |
| 18.8 | 41 |
| 21.6 | 73 |
| 24.6 | 24 |
| 24.8 | 29 |
| 25.5 | 88 |
| 27.5 | 21 |
| 27.6 | 22 |
| 29.5 | 100 |
| 39.8 | 17 |
| 47.4 | 18 |
| 47.6 | 21 |